Computed X-ray powder pattern of Cs2Pu3CoO12 for CuKα, from a structure optimized by DFT (PBE+U).
Peak positions follow from Bragg's law for the DFT cell and can differ from measured ones.

Structural model:
```
Cs2Pu3CoO12
1.0
3.9109 2.2580 5.7678
-3.9109 2.2580 5.7678
0.0000 -4.5159 5.7678
Cs Pu Co O
2 3 1 12
Cartesian
0.0000 0.0000 2.1984
0.0000 0.0000 15.1048
-1.9555 -1.1290 5.7678
-1.9554 1.1290 11.5355
0.0000 2.2580 5.7677
0.0000 0.0000 8.6516
0.0000 -1.7287 5.2478
-1.4971 0.8643 5.2478
-1.3837 -0.7989 7.5827
-1.4971 -0.8643 12.0555
0.0000 -1.5978 9.7206
-1.3837 0.7989 9.7206
1.3837 -0.7989 7.5826
0.0000 1.5978 7.5826
1.4971 0.8643 5.2478
1.3837 0.7989 9.7206
1.4971 -0.8643 12.0555
0.0000 1.7287 12.0555
```

Main lines, low angle first (5° ≤ 2θ ≤ 70°):
| 2θ/deg | d [Å] | I_rel |
| --- | --- | --- |
| 15.36 | 5.768 | 44 |
| 24.42 | 3.646 | 29 |
| 26.82 | 3.324 | 100 |
| 27.56 | 3.237 | 71 |
| 28.30 | 3.154 | 77 |
| 28.97 | 3.082 | 29 |
| 46.44 | 1.955 | 40 |
| 50.04 | 1.823 | 34 |